(1)
For Ho2GePd4Au2, a crystal structure in Alexandria, relaxed with GGA-PBE gives the theoretical powder X-ray diffraction pattern in this record (a wavelength of 1.5418 Å).
No peak broadening, texture or thermal motion is included.

a b c (Å): 6.507 6.507 6.507
angles (deg): 123.97 123.97 83.26
Positions (direct):
1 Ho 0.212 0.212 0.000
2 Ho 0.788 0.788 0.000
3 Ge 0.500 0.500 0.000
4 Pd 0.225 0.225 0.451
5 Pd 0.225 0.775 0.000
6 Pd 0.775 0.225 0.000
7 Pd 0.775 0.775 0.549
8 Au 0.250 0.750 0.500
9 Au 0.750 0.250 0.500

Peak list (12 most intense, 2θ = 15–90°, in order of falling intensity)
2θ (°), Rel. int.
34.7, 100
41.8, 40
57.0, 25
37.0, 24
71.7, 21
43.3, 13
60.6, 13
73.1, 11
29.2, 11
65.1, 9
53.1, 7
27.6, 6

(2)
For La8GeAu3I4, a crystal structure in Alexandria, relaxed with GGA-PBE gives the theoretical powder X-ray diffraction pattern in this record (a wavelength of 1.5418 Å).
No peak broadening, texture or thermal motion is included.

a b c (Å): 9.309 9.309 9.309
angles (deg): 57.47 57.47 57.47
Positions (direct):
1 La 0.235 0.235 0.235
2 La 0.241 0.736 0.736
3 La 0.264 0.264 0.759
4 La 0.264 0.759 0.264
5 La 0.736 0.241 0.736
6 La 0.736 0.736 0.241
7 La 0.759 0.264 0.264
8 La 0.765 0.765 0.765
9 Ge 0.500 0.500 0.500
10 Au 0.000 0.000 0.500
11 Au 0.000 0.500 0.000
12 Au 0.500 0.000 0.000
13 I 0.000 0.000 0.000
14 I 0.000 0.500 0.500
15 I 0.500 0.000 0.500
16 I 0.500 0.500 0.000

Peak list (12 most intense, 2θ = 15–90°, in order of falling intensity)
2θ (°), Rel. int.
27.7, 100
40.3, 39
38.8, 35
49.6, 20
65.7, 17
63.6, 12
57.1, 11
72.2, 11
73.3, 7
87.1, 6
35.6, 6
46.9, 6

(3)
For Rb3GeAu2I9, a crystal structure in Alexandria, relaxed with GGA-PBE gives the theoretical powder X-ray diffraction pattern in this record (a wavelength of 1.5418 Å).
No peak broadening, texture or thermal motion is included.

a b c (Å): 8.261 8.261 10.147
angles (deg): 90.00 90.00 120.00
Positions (direct):
1 Rb 0.000 0.000 0.000
2 Rb 0.333 0.667 0.664
3 Rb 0.667 0.333 0.336
4 Ge 0.000 0.000 0.500
5 Au 0.333 0.667 0.161
6 Au 0.667 0.333 0.839
7 I 0.000 0.500 0.000
8 I 0.167 0.334 0.332
9 I 0.167 0.833 0.332
10 I 0.334 0.167 0.668
11 I 0.500 0.000 0.000
12 I 0.500 0.500 0.000
13 I 0.666 0.833 0.332
14 I 0.833 0.167 0.668
15 I 0.833 0.666 0.668

Peak list (12 most intense, 2θ = 15–90°, in order of falling intensity)
2θ (°), Rel. int.
30.6, 100
43.8, 74
15.2, 54
26.4, 48
34.3, 30
54.4, 19
80.5, 19
21.5, 18
72.3, 17
72.2, 16
51.8, 16
63.7, 12

Which formula does entry 1 have? Ho2GePd4Au2